Computed X-ray powder pattern
Compound: BaAcS2
Radiation: λ = 1.5418 Å (Cu Kα)
Structure: a cell relaxed with PBE

Principal peaks in the range 10° ≤ 2θ ≤ 90°, low angle first:
2θ/deg	intensity	h k l
23.27	35	0 0 6
24.09	77	1 0 1
25.03	47	0 1 2
28.48	28	1 0 4
30.84	100	0 1 5
36.45	44	1 0 7
41.80	51	1 1 0
48.39	32	1 1 6
52.84	22	2 0 5
65.17	25	1 1 12

Structure:
Cell: 4.3217 4.3217 22.9339 Å, 90.00 90.00 120.00°
Atoms (fractional coordinates):
Ba: 0.0000 0.0000 0.0000
Ba: 0.3333 0.6667 0.6667
Ba: 0.6667 0.3333 0.3333
Ac: 0.0000 0.0000 0.1744
Ac: 0.3333 0.6667 0.8411
Ac: 0.6667 0.3333 0.5077
S: 0.0000 0.0000 0.5823
S: 0.0000 0.0000 0.7623
S: 0.3333 0.6667 0.2490
S: 0.3333 0.6667 0.4290
S: 0.6667 0.3333 0.0956
S: 0.6667 0.3333 0.9157

Computed X-ray powder pattern
Compound: U2Fe9Si6
Radiation: λ = 1.5418 Å (Cu Kα)
Structure: a cell relaxed with PBE

Principal peaks in the range 10° ≤ 2θ ≤ 90°, low angle first:
2θ/deg	intensity	h k l
15.98	36	0 0 2
21.83	27	1 0 1
25.93	68	1 0 2
31.68	100	1 0 3
35.52	29	1 1 0
41.25	77	2 0 0
43.37	96	1 1 3
45.86	28	1 0 5
61.39	31	2 1 3
66.18	30	2 0 6

Structure:
Cell: 5.0547 5.0547 11.0912 Å, 90.00 90.00 120.00°
Atoms (fractional coordinates):
U: 0.0000 0.0000 0.1890
U: 0.0000 0.0000 0.8110
Fe: 0.0000 0.5000 0.0000
Fe: 0.0000 0.5000 0.3311
Fe: 0.0000 0.5000 0.6689
Fe: 0.5000 0.0000 0.0000
Fe: 0.5000 0.0000 0.3311
Fe: 0.5000 0.0000 0.6689
Fe: 0.5000 0.5000 0.0000
Fe: 0.5000 0.5000 0.3311
Fe: 0.5000 0.5000 0.6689
Si: 0.3333 0.6667 0.1632
Si: 0.3333 0.6667 0.5000
Si: 0.3333 0.6667 0.8368
Si: 0.6667 0.3333 0.1632
Si: 0.6667 0.3333 0.5000
Si: 0.6667 0.3333 0.8368